Record 1
The following is a simulated powder X-ray diffraction pattern of CeFe5. It was derived from a crystal structure in the Materials Project, relaxed with PBE, using λ = 1.5418 Å (Cu Kα).

Cell lengths 5.0022, 5.0022, 4.0460 Å; angles 90.00, 90.00, 120.00 degrees
Space group P6/mmm (No. 191)
Inequivalent atoms, fractional coordinates:
Ce (0.0000, 0.0000, 0.0000) (multiplicity 1)
Fe (0.0000, 0.5000, 0.5000) (multiplicity 3)
Fe (0.3333, 0.6667, 0.0000) (multiplicity 2)

The 10 most intense peaks (2θ from 10° to 80°), most intense first:
2theta  d (Å)  intensity  index
42.49  2.127  100  1 1 1
30.23  2.957  50  1 0 1
41.70  2.166  35  2 0 0
35.91  2.501  32  1 1 0
44.80  2.023  27  0 0 2
69.06  1.360  22  3 0 1
62.86  1.478  20  2 0 2
76.12  1.251  15  2 2 0
58.70  1.573  15  1 1 2
61.05  1.518  13  2 1 1

Record 2
The following is a simulated powder X-ray diffraction pattern of Ce2Fe17. It was derived from a crystal structure in the Materials Project, relaxed with PBE, using λ = 1.5418 Å (Cu Kα).

Cell lengths 8.3961, 8.3961, 8.3958 Å; angles 90.00, 90.00, 120.00 degrees
Space group P6_3/mmc (No. 194)
Inequivalent atoms, fractional coordinates:
Ce (0.0000, 0.0000, 0.2500) (multiplicity 2)
Ce (0.3333, 0.6667, 0.2500) (multiplicity 2)
Fe (0.0000, 0.5000, 0.0000) (multiplicity 6)
Fe (0.0352, 0.3646, 0.7500) (multiplicity 12)
Fe (0.1666, 0.3333, 0.0117) (multiplicity 12)
Fe (0.3333, 0.6667, 0.6097) (multiplicity 4)

The 10 most intense peaks (2θ from 10° to 80°), most intense first:
2theta  d (Å)  intensity  index
43.10  2.099  100  0 0 4
37.09  2.424  21  3 0 0
79.01  1.212  19  6 0 0
30.11  2.968  18  1 1 2
62.59  1.484  15  2 2 4
40.68  2.218  14  2 0 3
48.49  1.877  13  2 2 2
71.00  1.328  11  3 3 2
65.10  1.433  8  3 2 3
46.30  1.961  8  2 1 3

Record 3
The following is a simulated powder X-ray diffraction pattern of CeGa7Fe5. It was derived from a crystal structure in the Materials Project, relaxed with PBE, using λ = 1.5418 Å (Cu Kα).

Cell lengths 5.041, 8.727, 8.683 Å; angles 90.00, 90.00, 90.00 degrees
Space group Imm2 (No. 44)
Inequivalent atoms, fractional coordinates:
Ce (0.000, 0.000, 0.000) (multiplicity 2)
Ga (0.000, 0.000, 0.348) (multiplicity 2)
Ga (0.000, 0.000, 0.665) (multiplicity 2)
Ga (0.000, 0.290, 0.500) (multiplicity 4)
Ga (0.000, 0.344, 0.015) (multiplicity 4)
Ga (0.000, 0.500, 0.733) (multiplicity 2)
Fe (0.000, 0.500, 0.270) (multiplicity 2)
Fe (0.247, 0.250, 0.757) (multiplicity 8)

The 10 most intense peaks (2θ from 10° to 80°), most intense first:
2theta  d (Å)  intensity  index
41.41  2.180  100  0 4 0
41.55  2.174  53  0 0 4
35.63  2.520  40  2 0 0
46.58  1.950  38  2 2 2
67.97  1.379  19  3 3 2
75.80  1.255  18  2 0 6
35.77  2.510  16  1 0 3
75.45  1.260  16  4 0 0
28.97  3.082  12  1 2 1
46.74  1.944  9  0 2 4

Record 4
The following is a simulated powder X-ray diffraction pattern of CeGa8Fe2. It was derived from a crystal structure in the Materials Project, relaxed with PBE, using λ = 1.5418 Å (Cu Kα).

Cell lengths 12.519, 14.288, 4.056 Å; angles 90.00, 90.00, 90.00 degrees
Space group Pbam (No. 55)
Inequivalent atoms, fractional coordinates:
Ce (0.157, 0.180, 0.000) (multiplicity 4)
Ga (0.000, 0.000, 0.000) (multiplicity 2)
Ga (0.000, 0.500, 0.500) (multiplicity 2)
Ga (0.023, 0.866, 0.500) (multiplicity 4)
Ga (0.049, 0.317, 0.500) (multiplicity 4)
Ga (0.099, 0.746, 0.000) (multiplicity 4)
Ga (0.163, 0.454, 0.000) (multiplicity 4)
Ga (0.165, 0.622, 0.500) (multiplicity 4)
Ga (0.168, 0.010, 0.500) (multiplicity 4)
Ga (0.238, 0.825, 0.500) (multiplicity 4)
Fe (0.034, 0.593, 0.000) (multiplicity 4)
Fe (0.152, 0.903, 0.000) (multiplicity 4)

The 10 most intense peaks (2θ from 10° to 80°), most intense first:
2theta  d (Å)  intensity  index
36.20  2.481  100  3 3 1
34.21  2.621  59  1 4 1
44.68  2.028  52  0 0 2
44.41  2.040  44  3 5 1
44.15  2.051  35  5 4 0
36.81  2.441  30  4 1 1
46.81  1.941  24  2 7 0
38.13  2.360  18  3 5 0
76.76  1.242  17  8 7 0
66.71  1.402  16  2 7 2

Record 5
The following is a simulated powder X-ray diffraction pattern of CeMg2Fe. It was derived from a crystal structure in the Materials Project, relaxed with PBE, using λ = 1.5418 Å (Cu Kα).

Cell lengths 7.024, 7.024, 7.024 Å; angles 90.00, 90.00, 90.00 degrees
Space group Fm-3m (No. 225)
Inequivalent atoms, fractional coordinates:
Ce (0.000, 0.000, 0.000) (multiplicity 4)
Mg (0.250, 0.250, 0.250) (multiplicity 8)
Fe (0.000, 0.000, 0.500) (multiplicity 4)

The 10 most intense peaks (2θ from 10° to 80°), most intense first:
2theta  d (Å)  intensity  index
36.17  2.483  100  2 2 0
25.36  3.512  44  2 0 0
65.05  1.434  34  4 2 2
21.92  4.055  24  1 1 1
52.08  1.756  17  4 0 0
58.79  1.571  16  4 2 0
42.69  2.118  13  3 1 1
44.69  2.028  13  2 2 2
76.76  1.242  10  4 4 0
57.16  1.611  6  3 3 1

Record 6
The following is a simulated powder X-ray diffraction pattern of CeMg6Fe. It was derived from a crystal structure in the Materials Project, relaxed with PBE, using λ = 1.5418 Å (Cu Kα).

Cell lengths 5.023, 5.726, 12.381 Å; angles 90.00, 90.00, 90.00 degrees
Space group Amm2 (No. 38)
Inequivalent atoms, fractional coordinates:
Ce (0.000, 0.000, 0.000) (multiplicity 2)
Mg (0.000, 0.250, 0.249) (multiplicity 4)
Mg (0.500, 0.000, 0.160) (multiplicity 2)
Mg (0.500, 0.000, 0.605) (multiplicity 2)
Mg (0.500, 0.245, 0.391) (multiplicity 4)
Fe (0.000, 0.000, 0.470) (multiplicity 2)

The 10 most intense peaks (2θ from 10° to 80°), most intense first:
2theta  d (Å)  intensity  index
39.02  2.308  100  1 2 2
34.02  2.635  91  1 0 4
14.31  6.191  81  0 0 2
34.51  2.599  50  0 2 2
35.75  2.512  48  2 0 0
17.66  5.023  48  1 0 0
22.80  3.901  47  1 0 2
50.54  1.806  33  2 2 2
24.65  3.612  32  1 1 1
32.13  2.786  27  1 1 3

Record 7
The following is a simulated powder X-ray diffraction pattern of CeMg6Fe. It was derived from a crystal structure in the Materials Project, relaxed with PBE, using λ = 1.5418 Å (Cu Kα).

Cell lengths 4.879, 6.300, 11.838 Å; angles 90.00, 90.00, 90.00 degrees
Space group Amm2 (No. 38)
Inequivalent atoms, fractional coordinates:
Ce (0.000, 0.000, 0.000) (multiplicity 2)
Mg (0.000, 0.000, 0.453) (multiplicity 2)
Mg (0.000, 0.245, 0.728) (multiplicity 4)
Mg (0.500, 0.000, 0.612) (multiplicity 2)
Mg (0.500, 0.246, 0.870) (multiplicity 4)
Fe (0.500, 0.000, 0.078) (multiplicity 2)

The 10 most intense peaks (2θ from 10° to 80°), most intense first:
2theta  d (Å)  intensity  index
15.94  5.561  100  0 1 1
35.48  2.530  63  1 0 4
32.19  2.781  60  0 2 2
37.22  2.416  58  1 2 2
14.97  5.919  56  0 0 2
36.84  2.440  36  2 0 0
49.72  1.834  34  2 2 2
26.66  3.344  31  0 1 3
46.03  1.972  23  2 1 3
24.27  3.668  22  1 1 1

Record 8
The following is a simulated powder X-ray diffraction pattern of CeMg14Fe. It was derived from a crystal structure in the Materials Project, relaxed with PBE, using λ = 1.5418 Å (Cu Kα).

Cell lengths 10.386, 5.917, 11.608 Å; angles 90.00, 90.00, 90.00 degrees
Space group Amm2 (No. 38)
Inequivalent atoms, fractional coordinates:
Ce (0.000, 0.000, 0.000) (multiplicity 2)
Mg (0.000, 0.242, 0.254) (multiplicity 4)
Mg (0.211, 0.000, 0.622) (multiplicity 4)
Mg (0.248, 0.247, 0.388) (multiplicity 8)
Mg (0.267, 0.000, 0.143) (multiplicity 4)
Mg (0.500, 0.000, 0.487) (multiplicity 2)
Mg (0.500, 0.000, 0.980) (multiplicity 2)
Mg (0.500, 0.247, 0.735) (multiplicity 4)
Fe (0.000, 0.000, 0.473) (multiplicity 2)

The 10 most intense peaks (2θ from 10° to 80°), most intense first:
2theta  d (Å)  intensity  index
38.30  2.350  100  2 2 2
35.44  2.533  87  2 0 4
34.54  2.596  49  4 0 0
34.02  2.636  47  0 2 2
17.50  5.066  40  1 0 2
49.26  1.850  30  4 2 2
15.27  5.804  29  0 0 2
17.07  5.193  23  2 0 0
30.87  2.897  23  0 0 4
56.87  1.619  22  0 2 6